[1]
PuAl2Cu2Si2: theoretical X-ray diffraction stick pattern (Cu Kα (weighted mean of Kα1 and Kα2)), based on DFT lattice parameters and positions (GGA-PBE).
No peak broadening, texture or thermal motion is included.

Top 8 peaks for 2θ = 10–90°, by angle:
two_theta, d [Å], intensity, h k l
11.88, 7.449, 64, 0 0 3
24.82, 3.587, 31, 1 0 1
25.78, 3.456, 91, 0 1 2
29.32, 3.046, 44, 1 0 4
31.73, 2.820, 71, 0 1 5
37.50, 2.398, 100, 1 0 7
43.11, 2.098, 84, 1 1 0
57.51, 1.603, 32, 1 1 9

Crystal structure
```
data_PuAl2Cu2Si2
_space_group_name_H-M_alt 'R -3 m'
_space_group_IT_number 166
_space_group_name_Hall '-R 3 2"'
_cell_length_a 4.1966
_cell_length_b 4.1966
_cell_length_c 22.3457
_cell_angle_alpha 90.00
_cell_angle_beta 90.00
_cell_angle_gamma 120.00
loop_
_atom_site_label
_atom_site_type_symbol
_atom_site_fract_x
_atom_site_fract_y
_atom_site_fract_z
Pu1 Pu 0.0000 0.0000 0.0000
Al1 Al 0.0000 0.0000 0.1356
Cu1 Cu 0.0000 0.0000 0.4286
Si1 Si 0.0000 0.0000 0.2532
```

[2]
Al4CuRe: theoretical X-ray diffraction stick pattern (Cu Kα (weighted mean of Kα1 and Kα2)), based on DFT lattice parameters and positions (GGA-PBE).
No peak broadening, texture or thermal motion is included.

Top 8 peaks for 2θ = 10–90°, by angle:
two_theta, d [Å], intensity, h k l
13.82, 6.407, 77, 1 1 0
19.46, 4.561, 100, 0 2 0
19.73, 4.500, 99, 2 0 0
35.13, 2.555, 81, 1 1 1
39.52, 2.280, 33, 0 4 0
45.28, 2.003, 46, 1 3 1
45.53, 1.992, 52, 3 1 1
54.11, 1.695, 35, 3 3 1

Crystal structure
```
data_Al4CuRe
_space_group_name_H-M_alt 'C m m m'
_space_group_IT_number 65
_space_group_name_Hall '-C 2 2'
_cell_length_a 9.000
_cell_length_b 9.121
_cell_length_c 2.786
_cell_angle_alpha 90.00
_cell_angle_beta 90.00
_cell_angle_gamma 90.00
loop_
_atom_site_label
_atom_site_type_symbol
_atom_site_fract_x
_atom_site_fract_y
_atom_site_fract_z
Al1 Al 0.000 0.236 0.000
Al2 Al 0.222 0.500 0.500
Cu1 Cu 0.000 0.500 0.000
Re1 Re 0.000 0.000 0.500
```

[3]
Al7Cu2Rh: theoretical X-ray diffraction stick pattern (Cu Kα (weighted mean of Kα1 and Kα2)), based on DFT lattice parameters and positions (GGA-PBE).
No peak broadening, texture or thermal motion is included.

Top 8 peaks for 2θ = 10–90°, by angle:
two_theta, d [Å], intensity, h k l
22.65, 3.925, 81, 1 0 3
22.93, 3.879, 48, 1 1 2
30.28, 2.951, 40, 2 0 2
39.62, 2.275, 70, 2 1 4
41.53, 2.175, 31, 2 2 2
43.79, 2.067, 100, 2 1 5
44.55, 2.034, 46, 3 1 0
44.97, 2.016, 73, 1 0 7

Crystal structure
```
data_Al7Cu2Rh
_space_group_name_H-M_alt 'P 4/m n c'
_space_group_IT_number 128
_space_group_name_Hall '-P 4 2n'
_cell_length_a 6.432
_cell_length_b 6.432
_cell_length_c 14.865
_cell_angle_alpha 90.00
_cell_angle_beta 90.00
_cell_angle_gamma 90.00
loop_
_atom_site_label
_atom_site_type_symbol
_atom_site_fract_x
_atom_site_fract_y
_atom_site_fract_z
Al1 Al 0.000 0.000 0.127
Al2 Al 0.086 0.301 0.403
Al3 Al 0.148 0.648 0.250
Cu1 Cu 0.095 0.731 0.000
Rh1 Rh 0.000 0.000 0.297
```